No. 1
The following is a simulated powder XRD pattern of CsBe. It was derived from a crystal structure in Alexandria, relaxed with GGA-PBE, using a wavelength of 1.5418 Å.
Kinematic intensities with the Lorentz-polarization factor, no thermal factor.

Cell and atoms:
```
12
Lattice="12.043 0.000 0.000 0.000 4.127 0.000 0.000 0.000 10.030" Properties=species:S:1:pos:R:3 pbc="T T T"
Cs 0.000 0.099 0.000
Cs 2.248 2.046 3.835
Cs 3.773 2.081 8.850
Cs 6.022 4.027 5.015
Cs 8.270 2.081 8.850
Cs 9.795 2.046 3.835
Be 0.000 2.024 6.816
Be 0.963 4.085 6.721
Be 5.059 0.042 1.706
Be 6.022 2.103 1.801
Be 6.985 0.042 1.706
Be 11.080 4.085 6.721
```

Principal peaks in the range 10 to 90 degrees two-theta, most intense first:
3.727 Å, 2θ = 23.9°, rel. 100
3.638 Å, 2θ = 24.5°, rel. 70
5.015 Å, 2θ = 17.7°, rel. 64
3.404 Å, 2θ = 26.2°, rel. 63
3.186 Å, 2θ = 28.0°, rel. 44
3.854 Å, 2θ = 23.1°, rel. 43
2.816 Å, 2θ = 31.8°, rel. 42
2.181 Å, 2θ = 41.4°, rel. 41
2.037 Å, 2θ = 44.5°, rel. 36
3.222 Å, 2θ = 27.7°, rel. 29

---

No. 2
The following is a simulated powder XRD pattern of HoPa2BeO8. It was derived from a crystal structure in Alexandria, relaxed with GGA-PBE, using a wavelength of 1.5418 Å.
Kinematic intensities with the Lorentz-polarization factor, no thermal factor.

Cell and atoms:
```
12
Lattice="4.948 0.000 0.000 -2.474 4.285 0.000 0.000 0.000 6.378" Properties=species:S:1:pos:R:3 pbc="T T T"
Ho 0.000 0.000 0.000
Pa 0.000 2.857 2.267
Pa 2.474 1.428 4.111
Be 0.000 0.000 3.189
O 0.000 1.401 4.281
O -1.261 3.585 4.281
O 1.213 0.700 2.098
O 0.000 2.857 0.338
O 2.474 1.428 6.040
O 1.261 3.585 4.281
O 3.735 0.700 2.098
O 2.474 2.884 2.098
```

Principal peaks in the range 10 to 90 degrees two-theta, most intense first:
3.557 Å, 2θ = 25.0°, rel. 100
2.474 Å, 2θ = 36.3°, rel. 47
2.558 Å, 2θ = 35.1°, rel. 42
2.031 Å, 2θ = 44.6°, rel. 34
1.778 Å, 2θ = 51.4°, rel. 22
1.612 Å, 2θ = 57.1°, rel. 21
1.570 Å, 2θ = 58.8°, rel. 21
1.444 Å, 2θ = 64.5°, rel. 16
2.126 Å, 2θ = 42.5°, rel. 12
1.428 Å, 2θ = 65.3°, rel. 9

---

No. 3
The following is a simulated powder XRD pattern of Ag4SeI3. It was derived from a crystal structure in Alexandria, relaxed with GGA-PBE, using a wavelength of 1.5418 Å.
Kinematic intensities with the Lorentz-polarization factor, no thermal factor.

Cell and atoms:
```
16
Lattice="7.411 0.000 0.000 0.000 9.237 0.000 0.000 0.000 7.433" Properties=species:S:1:pos:R:3 pbc="T T T"
Ag 0.000 2.174 0.000
Ag 0.000 7.063 0.000
Ag 1.612 0.000 4.069
Ag 2.094 4.618 0.352
Ag 3.705 2.445 3.716
Ag 3.705 6.792 3.716
Ag 5.317 4.618 0.352
Ag 5.799 0.000 4.069
Se 0.000 0.000 6.068
Se 3.705 4.618 2.352
I 0.000 2.303 2.736
I 0.000 4.618 5.929
I 0.000 6.934 2.736
I 3.705 0.000 2.212
I 3.705 2.316 6.452
I 3.705 6.921 6.452
```

Principal peaks in the range 10 to 90 degrees two-theta, most intense first:
3.467 Å, 2θ = 25.7°, rel. 100
2.093 Å, 2θ = 43.2°, rel. 84
3.709 Å, 2θ = 24.0°, rel. 66
2.892 Å, 2θ = 30.9°, rel. 63
2.281 Å, 2θ = 39.5°, rel. 57
5.791 Å, 2θ = 15.3°, rel. 45
2.309 Å, 2θ = 39.0°, rel. 42
2.624 Å, 2θ = 34.2°, rel. 40
3.122 Å, 2θ = 28.6°, rel. 35
1.734 Å, 2θ = 52.8°, rel. 23

---

No. 4
The following is a simulated powder XRD pattern of Rb2FePtS4. It was derived from a crystal structure in Alexandria, relaxed with GGA-PBE, using a wavelength of 1.5418 Å.
Kinematic intensities with the Lorentz-polarization factor, no thermal factor.

Cell and atoms:
```
16
Lattice="0.000 6.753 11.675 2.806 0.000 11.675 2.806 6.753 0.000" Properties=species:S:1:pos:R:3 pbc="T T T"
Rb 2.104 5.065 1.286
Rb 3.507 8.441 7.124
Rb 2.104 5.065 16.225
Rb 3.507 8.441 22.063
Fe 0.701 1.688 2.919
Fe 4.910 11.817 20.431
Pt 2.104 5.065 8.756
Pt 3.507 8.441 14.593
S 1.967 2.960 4.156
S 3.645 6.336 9.993
S 2.242 7.169 4.156
S 2.242 2.960 13.356
S 3.370 10.546 9.993
S 3.370 6.336 19.193
S 1.967 7.169 13.356
S 3.645 10.546 19.193
```

Principal peaks in the range 10 to 90 degrees two-theta, most intense first:
5.841 Å, 2θ = 15.2°, rel. 100
3.373 Å, 2θ = 26.4°, rel. 82
3.201 Å, 2θ = 27.9°, rel. 62
4.313 Å, 2θ = 20.6°, rel. 37
2.591 Å, 2θ = 34.6°, rel. 29
2.276 Å, 2θ = 39.6°, rel. 29
2.321 Å, 2θ = 38.8°, rel. 25
1.687 Å, 2θ = 54.4°, rel. 22
1.887 Å, 2θ = 48.2°, rel. 21
1.948 Å, 2θ = 46.6°, rel. 21